Theoretical X-ray powder pattern
Compound: SrLa3Pd8
Radiation: CuKα
Structure: DFT lattice parameters and positions (GGA-PBE)

a b c (Å): 5.5787 5.5787 9.1604
angles (deg): 90.00 90.00 120.00
Space group P3m1 (No. 156)
Symmetry-distinct sites (fractional):
Sr: 0.0000 0.0000 0.0000
La: 0.0000 0.0000 0.3668
La: 0.6667 0.3333 0.5030
La: 0.6667 0.3333 0.8760
Pd: 0.1656 0.3313 0.6848
Pd: 0.3333 0.6667 0.4377
Pd: 0.3333 0.6667 0.9370
Pd: 0.5011 0.0023 0.1903

The 10 most intense peaks (5 to 70 degrees two-theta), sorted by position:
- hkl 1 1 0, d 2.789, 32.09°, intensity 323
- hkl 1 0 3, d 2.581, 34.76°, intensity 748
- hkl 1 1 2, d 2.382, 37.76°, intensity 1000
- hkl 0 2 1, d 2.336, 38.54°, intensity 855
- hkl 0 0 4, d 2.290, 39.34°, intensity 171
- hkl 2 0 2, d 2.137, 42.30°, intensity 173
- hkl 2 1 3, d 1.567, 58.93°, intensity 312
- hkl 0 3 2, d 1.519, 60.99°, intensity 242
- hkl 2 0 5, d 1.460, 63.76°, intensity 312
- hkl 2 2 0, d 1.395, 67.11°, intensity 280